This entry pairs a crystal structure of Ca2HgGe2Rh5 with its theoretical powder diffractogram. Radiation: Cu Kα X-rays. Structure: the PBE geometry in Alexandria.

Most intense lines, 2θ = 15–90°, low angle first:
d [Å]  I_rel  hkl
5.014  24  2 0 0
4.485  25  2 1 0
2.495  28  2 2 1
2.432  23  4 1 0
2.353  100  3 1 1
2.242  29  4 2 0
2.180  30  3 2 1
1.755  17  0 0 2
1.382  12  4 2 2
1.315  17  7 1 1

Structural model:
```
Ca2HgGe2Rh5
1.0
10.028 0.000 0.000
0.000 10.028 0.000
0.000 0.000 3.511
Ca Hg Ge Rh
4 2 4 10
direct
0.173 0.327 0.000 Ca
0.327 0.827 0.000 Ca
0.673 0.173 0.000 Ca
0.827 0.673 0.000 Ca
0.000 0.000 0.000 Hg
0.500 0.500 0.000 Hg
0.126 0.626 0.000 Ge
0.374 0.126 0.000 Ge
0.626 0.874 0.000 Ge
0.874 0.374 0.000 Ge
0.000 0.500 0.500 Rh
0.068 0.787 0.500 Rh
0.213 0.068 0.500 Rh
0.287 0.568 0.500 Rh
0.432 0.287 0.500 Rh
0.500 0.000 0.500 Rh
0.568 0.713 0.500 Rh
0.713 0.432 0.500 Rh
0.787 0.932 0.500 Rh
0.932 0.213 0.500 Rh
```